Diffraction record for Li3Cr2P3O12. The powder diffraction line list is simulated, not measured: it uses a DFT-relaxed cell (GGA+U, Alexandria) and Cu Kα (λ = 1.5418 Å).

The 10 most intense peaks (10 to 90 degrees two-theta), in order of rising 2θ:
- 2θ = 14.5°, I 970
- 2θ = 19.9°, I 1000
- 2θ = 21.2°, I 202
- 2θ = 24.2°, I 724
- 2θ = 24.3°, I 693
- 2θ = 29.1°, I 227
- 2θ = 29.3°, I 474
- 2θ = 31.9°, I 522
- 2θ = 32.0°, I 446
- 2θ = 32.8°, I 210

Crystal structure
Lattice parameters (Å, degrees): 8.381 8.392 8.951 62.10 89.95 60.19
Atoms (fractional coordinates):
Li1 0.000 0.000 0.000
Li2 0.067 0.117 0.296
Li3 0.252 0.346 0.999
Li4 0.411 0.535 0.280
Li5 0.570 0.847 0.798
Li6 0.663 0.865 0.286
Cr1 0.184 0.221 0.713
Cr2 0.476 0.644 0.579
Cr3 0.679 0.237 0.191
Cr4 0.981 0.632 0.102
P1 0.081 0.721 0.396
P2 0.292 0.720 0.898
P3 0.373 0.143 0.395
P4 0.582 0.143 0.895
P5 0.796 0.429 0.400
P6 0.871 0.435 0.897
O1 0.076 0.321 0.880
O2 0.121 0.688 0.236
O3 0.136 0.512 0.563
O4 0.157 0.639 0.945
O5 0.175 0.301 0.243
O6 0.201 0.940 0.886
O7 0.210 0.799 0.414
O8 0.331 0.746 0.725
O9 0.345 0.111 0.573
O10 0.456 0.067 0.870
O11 0.464 0.924 0.407
O12 0.486 0.558 0.055
O13 0.501 0.231 0.345
O14 0.532 0.351 0.729
O15 0.541 0.177 0.055
O16 0.587 0.548 0.411
O17 0.711 0.569 0.725
O18 0.798 0.960 0.950
O19 0.815 0.616 0.259
O20 0.825 0.273 0.340
O21 0.840 0.597 0.950
O22 0.866 0.906 0.342
O23 0.868 0.240 0.050
O24 0.943 0.302 0.579